(1)
This entry pairs a crystal structure of Sr4MgTi3O10 with its simulated PXRD pattern. Radiation: a wavelength of 1.5418 Å. Structure: a DFT-relaxed cell (PBE, the Materials Project).

Atomic structure:
abc: 3.8664 3.8664 18.5532
angles: 95.65 95.65 89.85
Fractional coordinates of all 18 atoms:
1 Sr 0.0000 0.0000 0.0000
2 Sr 0.5494 0.5494 0.1491
3 Sr 0.7966 0.7966 0.5675
4 Sr 0.9018 0.9018 0.7902
5 Mg 0.6967 0.6967 0.3594
6 Ti 0.2334 0.2334 0.4370
7 Ti 0.3474 0.3474 0.6752
8 Ti 0.4541 0.4541 0.9011
9 O 0.0869 0.0869 0.1266
10 O 0.2205 0.7212 0.4107
11 O 0.2807 0.2807 0.5352
12 O 0.3390 0.8391 0.6576
13 O 0.3943 0.3943 0.7741
14 O 0.4473 0.9479 0.8880
15 O 0.5034 0.5034 0.0024
16 O 0.7212 0.2205 0.4107
17 O 0.8391 0.3390 0.6576
18 O 0.9479 0.4473 0.8880

Most intense lines, 5° ≤ 2θ ≤ 70°, most intense first:
32.8 deg, I = 100; 31.8 deg, I = 88; 32.0 deg, I = 79; 47.0 deg, I = 66; 9.6 deg, I = 29; 58.0 deg, I = 26; 44.4 deg, I = 21; 41.2 deg, I = 19; 24.2 deg, I = 19; 57.7 deg, I = 17

=====

(2)
This entry pairs a crystal structure of TlFeBr4 with its simulated PXRD pattern. Radiation: a wavelength of 1.5418 Å. Structure: a DFT-relaxed cell (PBE, the Materials Project).

Atomic structure:
abc: 7.7971 10.7381 10.6741
angles: 90.00 90.00 90.00
Fractional coordinates of all 24 atoms:
1 Tl 0.1637 0.2500 0.2500
2 Tl 0.3363 0.7500 0.2500
3 Tl 0.6637 0.2500 0.7500
4 Tl 0.8363 0.7500 0.7500
5 Fe 0.2500 0.0000 0.6816
6 Fe 0.2500 0.5000 0.8184
7 Fe 0.7500 0.0000 0.3184
8 Fe 0.7500 0.5000 0.1816
9 Br 0.0085 0.0400 0.8100
10 Br 0.0085 0.4600 0.6900
11 Br 0.1746 0.6739 0.9418
12 Br 0.1746 0.8261 0.5582
13 Br 0.3254 0.1739 0.5582
14 Br 0.3254 0.3261 0.9418
15 Br 0.4915 0.5400 0.6900
16 Br 0.4915 0.9600 0.8100
17 Br 0.5085 0.0400 0.1900
18 Br 0.5085 0.4600 0.3100
19 Br 0.6746 0.6739 0.0582
20 Br 0.6746 0.8261 0.4418
21 Br 0.8254 0.1739 0.4418
22 Br 0.8254 0.3261 0.0582
23 Br 0.9915 0.5400 0.3100
24 Br 0.9915 0.9600 0.1900

Most intense lines, 5° ≤ 2θ ≤ 70°, most intense first:
21.8 deg, I = 100; 29.6 deg, I = 81; 16.6 deg, I = 61; 32.3 deg, I = 57; 28.7 deg, I = 47; 36.6 deg, I = 46; 27.6 deg, I = 46; 37.5 deg, I = 41; 26.2 deg, I = 32; 28.3 deg, I = 32

=====

(3)
This entry pairs a crystal structure of IrBr6O2 with its simulated PXRD pattern. Radiation: a wavelength of 1.5418 Å. Structure: a DFT-relaxed cell (PBE, the Materials Project).

Atomic structure:
abc: 6.7843 6.7843 6.7843
angles: 60.00 60.00 60.00
Fractional coordinates of all 9 atoms:
1 Ir 0.0000 0.0000 0.0000
2 Br 0.2536 0.2536 0.7464
3 Br 0.2536 0.7464 0.2536
4 Br 0.2536 0.7464 0.7464
5 Br 0.7464 0.2536 0.2536
6 Br 0.7464 0.2536 0.7464
7 Br 0.7464 0.7464 0.2536
8 O 0.2500 0.2500 0.2500
9 O 0.7500 0.7500 0.7500

Most intense lines, 5° ≤ 2θ ≤ 70°, most intense first:
18.5 deg, I = 100; 37.5 deg, I = 85; 54.1 deg, I = 57; 16.0 deg, I = 57; 42.1 deg, I = 50; 30.9 deg, I = 42; 32.3 deg, I = 38; 57.6 deg, I = 25; 41.0 deg, I = 23; 67.7 deg, I = 19

=====

(4)
This entry pairs a crystal structure of K2PbCl5 with its simulated PXRD pattern. Radiation: a wavelength of 1.5418 Å. Structure: a DFT-relaxed cell (PBE, the Materials Project).

Atomic structure:
abc: 12.8630 8.8721 8.1898
angles: 90.00 90.00 90.00
Fractional coordinates of all 32 atoms:
1 K 0.1723 0.0005 0.0462
2 K 0.1723 0.4995 0.0462
3 K 0.3277 0.9995 0.5462
4 K 0.3277 0.5005 0.5462
5 K 0.6723 0.0005 0.4538
6 K 0.6723 0.4995 0.4538
7 K 0.8277 0.9995 0.9538
8 K 0.8277 0.5005 0.9538
9 Pb 0.0029 0.2500 0.5701
10 Pb 0.4971 0.7500 0.0701
11 Pb 0.5029 0.2500 0.9299
12 Pb 0.9971 0.7500 0.4299
13 Cl 0.0133 0.2500 0.9221
14 Cl 0.0816 0.5417 0.6642
15 Cl 0.0816 0.9583 0.6642
16 Cl 0.1753 0.2500 0.3682
17 Cl 0.2027 0.7500 0.3324
18 Cl 0.2973 0.2500 0.8324
19 Cl 0.3247 0.7500 0.8682
20 Cl 0.4184 0.0417 0.1642
21 Cl 0.4184 0.4583 0.1642
22 Cl 0.4867 0.7500 0.4221
23 Cl 0.5133 0.2500 0.5779
24 Cl 0.5816 0.5417 0.8358
25 Cl 0.5816 0.9583 0.8358
26 Cl 0.6753 0.2500 0.1318
27 Cl 0.7027 0.7500 0.1676
28 Cl 0.7973 0.2500 0.6676
29 Cl 0.8247 0.7500 0.6318
30 Cl 0.9184 0.0417 0.3358
31 Cl 0.9184 0.4583 0.3358
32 Cl 0.9867 0.7500 0.0779

Most intense lines, 5° ≤ 2θ ≤ 70°, most intense first:
12.8 deg, I = 100; 23.8 deg, I = 58; 13.8 deg, I = 51; 34.4 deg, I = 50; 32.9 deg, I = 41; 42.1 deg, I = 38; 23.4 deg, I = 37; 37.2 deg, I = 36; 24.4 deg, I = 36; 47.5 deg, I = 30